This entry pairs a crystal structure of CsHg3F8 with its theoretical powder X-ray diffraction pattern. Radiation: Cu Kα X-rays. Structure: a GGA-PBE-relaxed structure.

Crystal structure
a = 8.196 Å, b = 8.196 Å, c = 7.052 Å
α = 93.69°, β = 93.69°, γ = 31.06°
Fractional coordinates of all 12 atoms:
Cs 0.000 0.000 0.000
Hg 0.151 0.151 0.448
Hg 0.276 0.276 0.911
Hg 0.430 0.430 0.456
F 0.137 0.137 0.745
F 0.181 0.181 0.159
F 0.292 0.292 0.585
F 0.387 0.387 0.162
F 0.460 0.460 0.750
F 0.587 0.587 0.393
F 0.794 0.794 0.921
F 0.948 0.948 0.438

Main lines, by angle (2θ from 10° to 90°):
d 4.227, 21.0°, intensity 100; d 3.540, 25.2°, intensity 56; d 3.518, 25.3°, intensity 61; d 3.343, 26.7°, intensity 52; d 3.090, 28.9°, intensity 66; d 2.988, 29.9°, intensity 45; d 2.680, 33.4°, intensity 25; d 2.194, 41.1°, intensity 30; d 2.003, 45.3°, intensity 30; d 1.863, 48.9°, intensity 44